This entry pairs a crystal structure of Pr2Sm5Er12 with its simulated powder X-ray diffraction pattern. Radiation: copper Kα. Structure: a structure optimized by DFT (PBE).

Crystal structure
```
data_Pr2Sm5Er12
_cell_length_a 6.163
_cell_length_b 9.439
_cell_length_c 10.662
_cell_angle_alpha 101.04
_cell_angle_beta 95.53
_cell_angle_gamma 90.11
_space_group_name_H-M_alt 'P -1'
_space_group_IT_number 2
_space_group_name_Hall '-P 1'
loop_
_atom_site_label
_atom_site_fract_x
_atom_site_fract_y
_atom_site_fract_z
Pr1 0.080 0.316 0.474
Sm1 0.238 0.947 0.420
Sm2 0.342 0.368 0.052
Sm3 0.500 0.000 0.000
Er1 0.026 0.105 0.156
Er2 0.132 0.526 0.791
Er3 0.184 0.737 0.104
Er4 0.289 0.158 0.739
Er5 0.396 0.579 0.367
Er6 0.446 0.789 0.685
```

The 6 most intense peaks (5 to 70 degrees two-theta), low angle first:
| 2theta | Rel. int. |
| --- | --- |
| 30.75 | 100.0 |
| 30.83 | 33.1 |
| 35.67 | 67.4 |
| 51.27 | 24.1 |
| 51.41 | 23.9 |
| 61.06 | 28.5 |